Calculated XRD peak list of MgNi2W2O8 for Cu Kα X-rays, from a crystal structure in the Materials Project, relaxed with GGA+U.
Neutral-atom scattering factors, no anomalous dispersion.

Peak list (6 most intense, 2θ from 10° to 80°, in order of falling intensity)
(0 0 2), 2θ = 35.0°, I = 100; (1 1 -1), 2θ = 29.1°, I = 79; (1 1 0), 2θ = 23.7°, I = 78; (1 1 1), 2θ = 29.8°, I = 73; (1 0 0), 2θ = 18.3°, I = 62; (0 2 3), 2θ = 62.7°, I = 45

Cell and atoms:
abc: 4.859 5.921 5.143
angles: 90.00 91.71 90.00
Space group P2 (No. 3)
Asymmetric unit:
Mg1 0.000 0.000 0.000 [1 per cell]
Ni1 0.500 0.033 0.000 [1 per cell]
Ni2 0.500 0.746 0.500 [1 per cell]
W1 0.000 0.236 0.500 [1 per cell]
W2 0.000 0.535 0.000 [1 per cell]
O1 0.215 0.498 0.683 [2 per cell]
O2 0.219 0.260 0.170 [2 per cell]
O3 0.250 0.022 0.674 [2 per cell]
O4 0.256 0.767 0.153 [2 per cell]